Record 1
This entry pairs a crystal structure of Sc8GaTc2 with its theoretical X-ray diffraction stick pattern. Radiation: Cu Kα (weighted mean of Kα1 and Kα2). Structure: a PBE-relaxed structure.
Kinematic intensities with the Lorentz-polarization factor, no thermal factor.

The 10 most intense peaks (2θ from 10° to 90°), low angle first:
(hkl)  two_theta  I_rel
0 3 1  22.9  61
1 3 0  25.9  20
1 4 1  33.7  37
1 1 2  33.8  22
2 0 0  36.8  51
0 6 0  37.0  21
1 3 2  38.2  100
1 6 1  43.9  27
1 0 3  46.1  30
2 3 3  60.4  18

Atomic structure:
a b c (Å): 4.883 14.577 6.462
angles (deg): 90.00 90.00 90.00
Space group Imm2 (No. 44)
Unique sites:
Sc: 0.000 0.000 0.000 x2
Sc: 0.000 0.111 0.568 x4
Sc: 0.000 0.293 0.888 x4
Sc: 0.000 0.334 0.422 x4
Sc: 0.000 0.500 0.780 x2
Ga: 0.000 0.500 0.204 x2
Tc: 0.000 0.166 0.190 x4

Record 2
This entry pairs a crystal structure of Sc2Ga4Tc3 with its theoretical X-ray diffraction stick pattern. Radiation: Cu Kα (weighted mean of Kα1 and Kα2). Structure: a PBE-relaxed structure.
Kinematic intensities with the Lorentz-polarization factor, no thermal factor.

The 10 most intense peaks (2θ from 10° to 90°), low angle first:
(hkl)  two_theta  I_rel
1 1 0  19.0  45
2 1 -2  35.0  42
2 2 -1  37.6  100
1 2 -2  37.9  59
1 1 2  38.1  87
2 2 0  38.6  39
3 0 0  42.3  69
1 1 -3  42.5  90
1 3 -1  43.0  39
3 1 -2  44.5  50

Atomic structure:
a b c (Å): 6.806 6.820 6.714
angles (deg): 90.00 109.67 90.00
Space group P2_1/c (No. 14)
Unique sites:
Sc: 0.187 0.166 0.050 x4
Ga: 0.087 0.541 0.859 x4
Ga: 0.494 0.137 0.863 x4
Tc: 0.251 0.665 0.249 x4
Tc: 0.500 0.000 0.500 x2

Record 3
This entry pairs a crystal structure of ScGaTe3 with its theoretical X-ray diffraction stick pattern. Radiation: Cu Kα (weighted mean of Kα1 and Kα2). Structure: a PBE-relaxed structure.
Kinematic intensities with the Lorentz-polarization factor, no thermal factor.

The 10 most intense peaks (2θ from 10° to 90°), low angle first:
(hkl)  two_theta  I_rel
2 1 1  23.2  23
0 0 2  24.4  37
1 2 0  25.3  27
3 1 1  29.2  100
0 2 2  34.5  22
1 2 2  35.4  25
2 3 1  41.7  28
2 1 3  42.3  22
3 1 3  46.1  22
4 3 1  50.6  10

Atomic structure:
a b c (Å): 11.319 7.422 7.283
angles (deg): 90.00 90.00 90.00
Space group Ama2 (No. 40)
Unique sites:
Sc: 0.000 0.000 0.000 x4
Ga: 0.250 0.017 0.511 x4
Te: 0.084 0.313 0.825 x8
Te: 0.250 0.373 0.370 x4

Record 4
This entry pairs a crystal structure of ThSc3Ga3 with its theoretical X-ray diffraction stick pattern. Radiation: Cu Kα (weighted mean of Kα1 and Kα2). Structure: a PBE-relaxed structure.
Kinematic intensities with the Lorentz-polarization factor, no thermal factor.

The 10 most intense peaks (2θ from 10° to 90°), low angle first:
(hkl)  two_theta  I_rel
0 1 2  16.7  39
1 1 0  21.2  13
1 0 4  26.0  11
2 0 2  27.1  20
2 -1 3  27.3  10
3 -2 2  34.6  100
3 0 0  37.1  15
2 1 4  40.2  46
1 4 0  58.1  27
4 2 2  69.5  28

Atomic structure:
a b c (Å): 8.3976 8.3976 15.5306
angles (deg): 90.00 90.00 120.00
Space group R-3 (No. 148, hexagonal axes)
Unique sites:
Th: 0.0000 0.0000 0.2288 x6
Sc: 0.0099 0.2381 0.4151 x18
Ga: 0.0414 0.2610 0.9193 x18

Record 5
This entry pairs a crystal structure of ThSc5Ga3 with its theoretical X-ray diffraction stick pattern. Radiation: Cu Kα (weighted mean of Kα1 and Kα2). Structure: a PBE-relaxed structure.
Kinematic intensities with the Lorentz-polarization factor, no thermal factor.

The 10 most intense peaks (2θ from 10° to 90°), low angle first:
(hkl)  two_theta  I_rel
1 0 0  12.0  73
2 0 0  24.1  21
1 0 2  31.1  21
2 1 0  32.1  18
1 1 2  35.7  100
3 0 0  36.6  86
2 1 2  43.5  15
2 2 2  52.0  33
4 1 2  65.2  33
3 0 4  71.6  22

Atomic structure:
a b c (Å): 8.5144 8.5144 6.2417
angles (deg): 90.00 90.00 120.00
Space group P6_3/mcm (No. 193)
Unique sites:
Th: 0.0000 0.0000 0.0000 x2
Sc: 0.0000 0.3337 0.2500 x6
Sc: 0.3333 0.6667 0.0000 x4
Ga: 0.0000 0.3440 0.7500 x6

Record 6
This entry pairs a crystal structure of ThSc3Ga4 with its theoretical X-ray diffraction stick pattern. Radiation: Cu Kα (weighted mean of Kα1 and Kα2). Structure: a PBE-relaxed structure.
Kinematic intensities with the Lorentz-polarization factor, no thermal factor.

The 10 most intense peaks (2θ from 10° to 90°), low angle first:
(hkl)  two_theta  I_rel
2 0 0  18.1  13
0 1 1  22.0  16
2 1 0  22.5  15
2 1 1  28.7  29
0 0 2  35.4  21
4 0 0  36.7  37
2 2 1  37.1  100
4 0 2  51.9  14
6 2 1  66.3  17
4 4 0  67.9  13

Atomic structure:
a b c (Å): 9.797 6.683 5.065
angles (deg): 90.00 90.00 90.00
Space group Pmma (No. 51)
Unique sites:
Th: 0.000 0.000 0.000 x2
Sc: 0.000 0.500 0.000 x2
Sc: 0.250 0.000 0.443 x2
Sc: 0.250 0.500 0.404 x2
Ga: 0.000 0.278 0.500 x4
Ga: 0.250 0.278 0.905 x4

Record 7
This entry pairs a crystal structure of ThScZn2Ga2 with its theoretical X-ray diffraction stick pattern. Radiation: Cu Kα (weighted mean of Kα1 and Kα2). Structure: a PBE-relaxed structure.
Kinematic intensities with the Lorentz-polarization factor, no thermal factor.

The 10 most intense peaks (2θ from 10° to 90°), low angle first:
(hkl)  two_theta  I_rel
0 0 1  12.4  13
1 0 0  23.5  12
1 0 1  26.6  53
1 0 2  34.5  100
0 0 3  37.7  10
1 1 0  41.3  59
0 2 2  54.9  26
1 1 3  57.1  19
1 1 4  67.7  17
2 1 2  70.9  24

Atomic structure:
a b c (Å): 4.3714 4.3714 7.1602
angles (deg): 90.00 90.00 120.00
Space group P-3m1 (No. 164)
Unique sites:
Th: 0.0000 0.0000 0.0000 x1
Sc: 0.0000 0.0000 0.5000 x1
Zn: 0.3333 0.6667 0.2931 x2
Ga: 0.3333 0.6667 0.7221 x2

Record 8
This entry pairs a crystal structure of Tm2Sc3Ga4 with its theoretical X-ray diffraction stick pattern. Radiation: Cu Kα (weighted mean of Kα1 and Kα2). Structure: a PBE-relaxed structure.
Kinematic intensities with the Lorentz-polarization factor, no thermal factor.

The 10 most intense peaks (2θ from 10° to 90°), low angle first:
(hkl)  two_theta  I_rel
1 1 0  17.1  88
1 2 1  31.4  71
2 1 -2  32.3  83
2 2 -1  34.1  100
1 1 2  34.4  100
2 2 0  34.6  49
1 2 -2  34.7  47
0 3 1  38.1  81
3 0 -2  38.8  42
1 1 -3  39.3  63

Atomic structure:
a b c (Å): 7.525 7.539 7.216
angles (deg): 90.00 107.88 90.00
Space group P2_1/c (No. 14)
Unique sites:
Tm: 0.193 0.178 0.071 x4
Sc: 0.246 0.676 0.248 x4
Sc: 0.500 0.000 0.500 x2
Ga: 0.080 0.532 0.862 x4
Ga: 0.494 0.123 0.872 x4

Record 9
This entry pairs a crystal structure of Tm3ScGa12 with its theoretical X-ray diffraction stick pattern. Radiation: Cu Kα (weighted mean of Kα1 and Kα2). Structure: a PBE-relaxed structure.
Kinematic intensities with the Lorentz-polarization factor, no thermal factor.

The 10 most intense peaks (2θ from 10° to 90°), low angle first:
(hkl)  two_theta  I_rel
0 0 4  21.1  10
1 1 0  30.0  8
1 1 4  37.0  100
0 0 8  42.8  16
2 0 0  43.0  33
2 0 8  62.3  21
2 2 0  62.4  11
1 1 12  74.6  12
3 1 4  74.8  24
2 2 8  78.7  10

Atomic structure:
a b c (Å): 4.207 4.207 16.887
angles (deg): 90.00 90.00 90.00
Space group P4/mmm (No. 123)
Unique sites:
Tm: 0.000 0.000 0.000 x1
Tm: 0.000 0.000 0.254 x2
Sc: 0.000 0.000 0.500 x1
Ga: 0.000 0.500 0.127 x4
Ga: 0.000 0.500 0.380 x4
Ga: 0.500 0.500 0.000 x1
Ga: 0.500 0.500 0.251 x2
Ga: 0.500 0.500 0.500 x1

Record 10
This entry pairs a crystal structure of TmScGa with its theoretical X-ray diffraction stick pattern. Radiation: Cu Kα (weighted mean of Kα1 and Kα2). Structure: a PBE-relaxed structure.
Kinematic intensities with the Lorentz-polarization factor, no thermal factor.

The 10 most intense peaks (2θ from 10° to 90°), low angle first:
(hkl)  two_theta  I_rel
0 0 2  14.1  31
1 0 1  27.9  30
1 0 3  34.6  100
1 1 0  38.5  39
1 1 2  41.2  10
0 0 6  43.2  11
1 0 5  45.3  10
2 0 0  55.6  13
1 1 6  59.2  18
2 1 3  67.2  28

Atomic structure:
a b c (Å): 3.305 3.305 12.570
angles (deg): 90.00 90.00 90.00
Space group I4mm (No. 107)
Unique sites:
Tm: 0.000 0.000 0.000 x2
Sc: 0.000 0.000 0.299 x2
Ga: 0.000 0.000 0.658 x2

Record 11
This entry pairs a crystal structure of Tm2ScZn2Ga2 with its theoretical X-ray diffraction stick pattern. Radiation: Cu Kα (weighted mean of Kα1 and Kα2). Structure: a PBE-relaxed structure.
Kinematic intensities with the Lorentz-polarization factor, no thermal factor.

The 10 most intense peaks (2θ from 10° to 90°), low angle first:
(hkl)  two_theta  I_rel
1 0 1  23.8  21
1 0 4  27.2  52
1 0 7  33.6  46
0 1 8  36.1  100
1 1 0  41.3  90
2 0 8  56.1  28
1 1 12  59.7  14
1 1 15  68.5  22
1 2 8  72.0  26
3 0 0  75.4  15

Atomic structure:
a b c (Å): 4.3684 4.3684 26.3693
angles (deg): 90.00 90.00 120.00
Space group R-3m (No. 166, hexagonal axes)
Unique sites:
Tm: 0.0000 0.0000 0.1248 x6
Sc: 0.0000 0.0000 0.0000 x3
Zn: 0.0000 0.0000 0.3892 x6
Ga: 0.0000 0.0000 0.2671 x6

Record 12
This entry pairs a crystal structure of Sc3UGa12 with its theoretical X-ray diffraction stick pattern. Radiation: Cu Kα (weighted mean of Kα1 and Kα2). Structure: a PBE-relaxed structure.
Kinematic intensities with the Lorentz-polarization factor, no thermal factor.

The 10 most intense peaks (2θ from 10° to 90°), low angle first:
(hkl)  two_theta  I_rel
0 0 2  10.6  8
1 0 1  22.1  8
1 1 4  37.5  100
0 0 8  43.3  16
2 0 0  43.8  34
2 0 8  63.2  20
2 2 0  63.6  11
1 1 12  75.6  12
3 1 4  76.3  25
2 2 8  80.1  10

Atomic structure:
a b c (Å): 4.137 4.137 16.726
angles (deg): 90.00 90.00 90.00
Space group P4/mmm (No. 123)
Unique sites:
Sc: 0.000 0.000 0.000 x1
Sc: 0.000 0.000 0.245 x2
U: 0.000 0.000 0.500 x1
Ga: 0.000 0.500 0.123 x4
Ga: 0.000 0.500 0.369 x4
Ga: 0.500 0.500 0.000 x1
Ga: 0.500 0.500 0.248 x2
Ga: 0.500 0.500 0.500 x1

Record 13
This entry pairs a crystal structure of ScVGa2 with its theoretical X-ray diffraction stick pattern. Radiation: Cu Kα (weighted mean of Kα1 and Kα2). Structure: a PBE-relaxed structure.
Kinematic intensities with the Lorentz-polarization factor, no thermal factor.

The 10 most intense peaks (2θ from 10° to 90°), low angle first:
(hkl)  two_theta  I_rel
1 0 2  21.9  12
1 0 3  29.9  18
2 1 1  35.6  62
1 1 3  37.9  100
2 1 2  39.0  44
3 0 1  39.4  19
3 0 2  42.6  19
1 1 4  45.2  30
3 1 1  46.1  34
0 2 0  46.7  40

Atomic structure:
a b c (Å): 7.043 3.892 9.917
angles (deg): 90.00 90.00 90.00
Space group Pnma (No. 62)
Unique sites:
Sc: 0.212 0.250 0.186 x4
V: 0.046 0.750 0.421 x4
Ga: 0.084 0.250 0.833 x4
Ga: 0.208 0.750 0.975 x4